# 1
For NaLiOsO4, a DFT-relaxed cell (PBE, Alexandria) gives the calculated X-ray powder pattern in this record (λ = 1.5418 Å (Cu Kα)).
Lines closer than 0.1° are merged.

Cell and atoms:
```
data_NaLiOsO4
_cell_length_a 5.458
_cell_length_b 5.458
_cell_length_c 7.428
_cell_angle_alpha 90.00
_cell_angle_beta 90.00
_cell_angle_gamma 90.00
_symmetry_space_group_name_H-M 'I -4'
_symmetry_Int_Tables_number 82
_symmetry_space_group_name_Hall 'I -4'
loop_
_atom_site_label
_atom_site_fract_x
_atom_site_fract_y
_atom_site_fract_z
Na1 0.000 0.000 0.000
Li1 0.000 0.500 0.250
Os1 0.000 0.000 0.500
O1 0.154 0.733 0.416
```

Top 6 peaks for 15 to 90 degrees two-theta, by angle:
hkl 1 0 1, 20.19 deg, I = 100
hkl 1 1 0, 23.04 deg, I = 47
hkl 0 0 2, 23.96 deg, I = 31
hkl 1 1 2, 33.48 deg, I = 44
hkl 2 1 1, 38.83 deg, I = 28
hkl 2 0 2, 41.04 deg, I = 18



# 2
For PaTi4Nb2, a DFT-relaxed cell (PBE, Alexandria) gives the calculated X-ray powder pattern in this record (λ = 1.5418 Å (Cu Kα)).
Lines closer than 0.1° are merged.

Cell and atoms:
```
data_PaTi4Nb2
_cell_length_a 5.330
_cell_length_b 5.545
_cell_length_c 9.230
_cell_angle_alpha 77.32
_cell_angle_beta 87.65
_cell_angle_gamma 86.70
_symmetry_space_group_name_H-M 'P -1'
_symmetry_Int_Tables_number 2
_symmetry_space_group_name_Hall '-P 1'
loop_
_atom_site_label
_atom_site_fract_x
_atom_site_fract_y
_atom_site_fract_z
Pa1 0.250 0.042 0.386
Ti1 0.244 0.683 0.731
Ti2 0.256 0.171 0.743
Ti3 0.259 0.608 0.221
Ti4 0.467 0.227 0.045
Nb1 0.000 0.000 0.000
Nb2 0.000 0.500 0.000
Nb3 0.000 0.500 0.500
Nb4 0.500 0.500 0.500
```

Top 6 peaks for 15 to 90 degrees two-theta, by angle:
hkl 1 0 -1, 19.67 deg, I = 82
hkl 1 0 2, 25.55 deg, I = 68
hkl 1 0 -3, 34.78 deg, I = 100
hkl 1 2 2, 37.80 deg, I = 82
hkl 0 1 4, 39.89 deg, I = 89
hkl 1 2 -1, 40.01 deg, I = 63



# 3
For Rb2Pa3Se9, a DFT-relaxed cell (PBE, Alexandria) gives the calculated X-ray powder pattern in this record (λ = 1.5418 Å (Cu Kα)).
Lines closer than 0.1° are merged.

Cell and atoms:
```
data_Rb2Pa3Se9
_cell_length_a 15.212
_cell_length_b 8.821
_cell_length_c 12.385
_cell_angle_alpha 90.00
_cell_angle_beta 115.51
_cell_angle_gamma 90.00
_symmetry_space_group_name_H-M 'C 1 2/c 1'
_symmetry_Int_Tables_number 15
_symmetry_space_group_name_Hall '-C 2yc'
loop_
_atom_site_label
_atom_site_fract_x
_atom_site_fract_y
_atom_site_fract_z
Rb1 0.163 0.085 0.250
Pa1 0.080 0.267 0.502
Pa2 0.250 0.250 0.000
Se1 0.000 0.331 0.250
Se2 0.069 0.063 0.944
Se3 0.107 0.408 0.054
Se4 0.137 0.278 0.748
Se5 0.232 0.412 0.438
```

Top 6 peaks for 15 to 90 degrees two-theta, by angle:
hkl 0 0 2, 15.86 deg, I = 67
hkl 3 1 -1, 20.18 deg, I = 89
hkl 0 0 4, 32.03 deg, I = 43
hkl 3 3 -1, 35.29 deg, I = 100
hkl 6 0 -2, 35.41 deg, I = 54
hkl 3 3 -3, 38.70 deg, I = 29



# 4
For Tm5Sc4Ir4, a DFT-relaxed cell (PBE, Alexandria) gives the calculated X-ray powder pattern in this record (λ = 1.5418 Å (Cu Kα)).
Lines closer than 0.1° are merged.

Cell and atoms:
```
data_Tm5Sc4Ir4
_cell_length_a 11.627
_cell_length_b 11.627
_cell_length_c 4.249
_cell_angle_alpha 90.00
_cell_angle_beta 90.00
_cell_angle_gamma 90.00
_symmetry_space_group_name_H-M 'I 4/m'
_symmetry_Int_Tables_number 87
_symmetry_space_group_name_Hall '-I 4'
loop_
_atom_site_label
_atom_site_fract_x
_atom_site_fract_y
_atom_site_fract_z
Tm1 0.000 0.000 0.000
Tm2 0.127 0.809 0.500
Sc1 0.096 0.391 0.500
Ir1 0.073 0.251 0.000
```

Top 6 peaks for 15 to 90 degrees two-theta, by angle:
hkl 1 2 1, 27.10 deg, I = 39
hkl 3 0 1, 31.24 deg, I = 68
hkl 4 2 0, 34.50 deg, I = 54
hkl 3 2 1, 34.93 deg, I = 100
hkl 1 4 1, 38.31 deg, I = 89
hkl 0 0 2, 42.55 deg, I = 39